# 1
Simulated powder diffractogram of ZnIr2O4 for Cu Kα (weighted mean of Kα1 and Kα2), from DFT lattice parameters and positions (PBE).

The 12 most intense peaks (15° ≤ 2θ ≤ 90°), low angle first:
2theta, I (rel.)
17.56, 63
33.98, 100
35.54, 52
41.27, 35
45.17, 13
54.50, 37
59.79, 44
62.84, 13
70.59, 12
71.53, 24
75.24, 8
85.19, 22

```
ZnIr2O4
1.0
0.0000 4.3747 4.3747
4.3747 0.0000 4.3747
4.3747 4.3747 0.0000
Zn Ir O
2 4 8
direct
0.1250 0.1250 0.1250
0.8750 0.8750 0.8750
0.0000 0.5000 0.5000
0.5000 0.0000 0.5000
0.5000 0.5000 0.0000
0.5000 0.5000 0.5000
0.2614 0.2614 0.2614
0.2614 0.2614 0.7157
0.2614 0.7157 0.2614
0.2843 0.7386 0.7386
0.7157 0.2614 0.2614
0.7386 0.2843 0.7386
0.7386 0.7386 0.2843
0.7386 0.7386 0.7386
```

# 2
Simulated powder diffractogram of Tb2Si3Rh for Cu Kα (weighted mean of Kα1 and Kα2), from DFT lattice parameters and positions (PBE).

The 12 most intense peaks (15° ≤ 2θ ≤ 90°), low angle first:
2theta, I (rel.)
21.70, 6
22.31, 4
25.11, 30
33.84, 100
44.24, 36
45.53, 10
52.69, 9
56.83, 22
65.35, 20
74.72, 19
76.60, 8
81.41, 6

```
Tb2Si3Rh
1.0
8.1897 0.0000 0.0000
-4.0949 7.0925 0.0000
0.0000 0.0000 7.9699
Tb Si Rh
8 12 4
direct
0.0000 0.0000 0.2500
0.0000 0.0000 0.7500
0.0149 0.5074 0.2500
0.4926 0.5074 0.2500
0.4926 0.9851 0.2500
0.5074 0.0149 0.7500
0.5074 0.4926 0.7500
0.9851 0.4926 0.7500
0.1667 0.3335 0.0004
0.1667 0.3335 0.4996
0.1667 0.8333 0.0004
0.1667 0.8333 0.4996
0.3335 0.1667 0.9996
0.3335 0.1667 0.5004
0.6665 0.8333 0.0004
0.6665 0.8333 0.4996
0.8333 0.1667 0.9996
0.8333 0.1667 0.5004
0.8333 0.6665 0.9996
0.8333 0.6665 0.5004
0.3333 0.6667 0.5298
0.3333 0.6667 0.9702
0.6667 0.3333 0.0298
0.6667 0.3333 0.4702
```